No. 1
Structure and simulated XRD peak list of Ac2PtPb2 (DFT lattice parameters and positions (GGA-PBE); λ = 1.5418 Å (Cu Kα)).
No peak broadening, texture or thermal motion is included.

Most intense lines, 5° ≤ 2θ ≤ 70°, most intense first:
| 2theta | I/Imax | (hkl) |
| --- | --- | --- |
| 28.72 | 100 | 1 1 3 |
| 34.77 | 90 | 1 -1 3 |
| 29.43 | 58 | 1 2 1 |
| 28.43 | 49 | 0 2 0 |
| 39.93 | 49 | 2 1 1 |
| 31.05 | 40 | 0 0 4 |
| 31.61 | 37 | -1 1 1 |
| 37.52 | 20 | 0 2 3 |

Cell and atoms:
Cell lengths 4.515, 6.670, 11.745 Å; angles 87.83, 78.92, 70.37 degrees
Space group P-1 (No. 2)
Asymmetric unit:
Ac: 0.081 0.221 0.116 (multiplicity 2)
Ac: 0.286 0.289 0.640 (multiplicity 2)
Pt: 0.420 0.364 0.293 (multiplicity 2)
Pb: 0.034 0.837 0.597 (multiplicity 2)
Pb: 0.363 0.667 0.111 (multiplicity 2)

No. 2
Structure and simulated XRD peak list of CdCo2Ge2 (DFT lattice parameters and positions (GGA-PBE); λ = 1.5418 Å (Cu Kα)).
No peak broadening, texture or thermal motion is included.

Most intense lines, 5° ≤ 2θ ≤ 70°, most intense first:
| 2theta | I/Imax | (hkl) |
| --- | --- | --- |
| 39.77 | 100 | 3 1 0 |
| 43.20 | 96 | 2 1 1 |
| 52.17 | 21 | 3 1 1 |
| 37.03 | 17 | 1 1 1 |
| 35.42 | 17 | 2 2 0 |
| 41.23 | 16 | 2 0 1 |
| 57.51 | 14 | 4 2 0 |
| 32.37 | 12 | 0 0 1 |

Cell and atoms:
Cell lengths 7.167, 7.167, 2.766 Å; angles 90.00, 90.00, 90.00 degrees
Space group P4/mbm (No. 127)
Asymmetric unit:
Cd: 0.000 0.000 0.000 (multiplicity 2)
Co: 0.147 0.353 0.500 (multiplicity 4)
Ge: 0.143 0.643 0.000 (multiplicity 4)